1.
The following is a theoretical X-ray diffraction stick pattern of CaPm3Cd3. It was derived from the PBE geometry in Alexandria, using Cu Kα X-rays.
Kinematic intensities with the Lorentz-polarization factor, no thermal factor.

Structural model:
```
CaPm3Cd3
1.0
5.354 -5.510 0.000
5.354 5.510 0.000
0.000 0.000 7.269
Ca Pm Cd
2 6 6
direct
0.214 0.214 0.000
0.786 0.786 0.000
0.224 0.776 0.500
0.243 0.243 0.500
0.276 0.724 0.000
0.724 0.276 0.000
0.757 0.757 0.500
0.776 0.224 0.500
0.000 0.500 0.252
0.000 0.500 0.748
0.500 0.000 0.252
0.500 0.000 0.748
0.500 0.500 0.276
0.500 0.500 0.724
```

Most intense lines, 2θ from 10° to 90°, by angle:
2θ (°), I/Imax
11.5, 9.7
16.1, 9.9
32.5, 25.8
33.5, 26.5
34.0, 100.0
47.3, 16.9
50.2, 9.8
58.9, 14.5
60.2, 17.2
61.7, 9.4



2.
The following is a theoretical X-ray diffraction stick pattern of CaTbPmCd. It was derived from the PBE geometry in Alexandria, using Cu Kα X-rays.
Kinematic intensities with the Lorentz-polarization factor, no thermal factor.

Structural model:
```
CaTbPmCd
1.0
3.644 0.000 0.000
0.000 3.644 0.000
0.000 0.000 9.504
Ca Tb Pm Cd
1 1 1 1
direct
0.000 0.000 0.000
0.000 0.000 0.568
0.500 0.500 0.308
0.500 0.500 0.777
```

Most intense lines, 2θ from 10° to 90°, by angle:
2θ (°), I/Imax
26.2, 9.5
30.9, 100.0
34.8, 39.3
37.6, 11.9
37.9, 11.5
50.1, 13.8
52.4, 17.8
60.0, 29.4
64.1, 6.7
64.4, 9.5



3.
The following is a theoretical X-ray diffraction stick pattern of CaPrCd5. It was derived from the PBE geometry in Alexandria, using Cu Kα X-rays.
Kinematic intensities with the Lorentz-polarization factor, no thermal factor.

Structural model:
```
CaPrCd5
1.0
3.216 -4.446 0.000
3.216 4.446 0.000
0.000 0.000 6.922
Ca Pr Cd
1 1 5
direct
0.000 0.000 0.000
0.500 0.500 0.500
0.000 0.500 0.256
0.000 0.500 0.744
0.500 0.000 0.256
0.500 0.000 0.744
0.500 0.500 0.000
```

Most intense lines, 2θ from 10° to 90°, by angle:
2θ (°), I/Imax
17.0, 39.3
31.0, 18.5
32.8, 100.0
34.4, 88.0
38.2, 65.5
40.6, 27.6
52.9, 12.6
57.0, 39.2
64.7, 26.0
67.6, 23.0